# 1
For TbAl, a GGA-PBE-relaxed structure gives the computed PXRD pattern in this record (CuKα).
No peak broadening, texture or thermal motion is included.

Cell and atoms:
```
data_TbAl
_chemical_formula_sum 'Tb8 Al8'
_cell_length_a 5.8634
_cell_length_b 11.4837
_cell_length_c 5.6385
_cell_angle_alpha 90.00
_cell_angle_beta 90.00
_cell_angle_gamma 90.00
_space_group_name_H-M_alt 'P b c m'
_space_group_IT_number 57
loop_
_space_group_symop_operation_xyz
'x,y,z'
'-x,-y,-z'
'-x,-y,z+1/2'
'x,y,-z+1/2'
'x,-y+1/2,-z'
'-x,y+1/2,z'
'-x,y+1/2,-z+1/2'
'x,-y+1/2,z+1/2'
loop_
_atom_site_label
_atom_site_type_symbol
_atom_site_fract_x
_atom_site_fract_y
_atom_site_fract_z
Tb1 Tb 0.0987 0.1676 0.2500
Tb2 Tb 0.3373 0.0149 0.7500
Al1 Al 0.1625 0.5988 0.7500
Al2 Al 0.4312 0.7500 0.0000
```

Largest 6 diffraction maxima, sorted by position, 2θ = 15–90°:
hkl, Position (°2θ), Rel. int.
1 2 0, 21.66, 35
1 2 1, 26.88, 38
0 0 2, 31.74, 50
1 3 1, 32.12, 100
2 1 1, 35.38, 86
1 2 2, 38.75, 36



# 2
For Mn, a GGA-PBE-relaxed structure gives the computed PXRD pattern in this record (CuKα).
No peak broadening, texture or thermal motion is included.

Cell and atoms:
```
data_Mn
_chemical_formula_sum 'Mn2'
_cell_length_a 2.4836
_cell_length_b 2.4836
_cell_length_c 4.0262
_cell_angle_alpha 90.00
_cell_angle_beta 90.00
_cell_angle_gamma 120.00
_space_group_name_H-M_alt 'P 63/m m c'
_space_group_IT_number 194
_space_group_name_Hall '-P 6c 2c'
loop_
_atom_site_label
_atom_site_type_symbol
_atom_site_fract_x
_atom_site_fract_y
_atom_site_fract_z
Mn1 Mn 0.3333 0.6667 0.2500
```

Largest 6 diffraction maxima, sorted by position, 2θ = 15–90°:
hkl, Position (°2θ), Rel. int.
1 0 0, 42.01, 25
0 0 2, 45.03, 27
1 0 1, 47.95, 100
1 0 2, 63.27, 13
1 1 0, 76.75, 14
1 0 3, 85.23, 16



# 3
For Sc3B2Ir5, a GGA-PBE-relaxed structure gives the computed PXRD pattern in this record (CuKα).
No peak broadening, texture or thermal motion is included.

Cell and atoms:
```
data_Sc3B2Ir5
_chemical_formula_sum 'Sc6 B4 Ir10'
_cell_length_a 9.5973
_cell_length_b 9.5973
_cell_length_c 3.0996
_cell_angle_alpha 90.00
_cell_angle_beta 90.00
_cell_angle_gamma 90.00
_space_group_name_H-M_alt 'P 4/m b m'
_space_group_IT_number 127
_space_group_name_Hall '-P 4 2ab'
loop_
_atom_site_label
_atom_site_type_symbol
_atom_site_fract_x
_atom_site_fract_y
_atom_site_fract_z
Sc1 Sc 0.0000 0.0000 0.0000
Sc2 Sc 0.1751 0.3249 0.0000
B1 B 0.1231 0.6231 0.0000
Ir1 Ir 0.0000 0.5000 0.5000
Ir2 Ir 0.0711 0.7779 0.5000
```

Largest 6 diffraction maxima, sorted by position, 2θ = 15–90°:
hkl, Position (°2θ), Rel. int.
0 0 1, 28.80, 100
2 1 1, 35.73, 60
4 1 0, 38.68, 87
3 1 1, 41.65, 91
4 2 0, 42.11, 60
3 2 1, 44.89, 63



Q: What is the formula in the third record?
A: Sc3B2Ir5